(1)
Structure and calculated XRD peak list of Pr2DyYBi5 (a PBE-relaxed structure; Cu Kα (weighted mean of Kα1 and Kα2)).
Lines closer than 0.1° are merged.

Peak list (6 most intense, 2θ = 10–80°, in order of rising 2θ)
23.11°, rel. 55; 24.29°, rel. 46; 27.57°, rel. 52; 29.92°, rel. 59; 32.91°, rel. 100; 45.07°, rel. 79

```
Pr2DyYBi5
1.0
5.4438 0.0000 0.0000
0.0000 5.4438 0.0000
0.0000 0.0000 11.9457
Pr Dy Y Bi
2 1 1 5
Cartesian
0.0000 0.0000 2.6825
0.0000 0.0000 9.2632
2.7219 2.7219 0.0000
2.7219 2.7219 5.9728
0.0000 0.0000 5.9728
0.0000 2.7219 0.0000
2.7219 0.0000 0.0000
2.7219 2.7219 3.0360
2.7219 2.7219 8.9097
```

=====

(2)
Structure and calculated XRD peak list of HfNbAl (a PBE-relaxed structure; Cu Kα (weighted mean of Kα1 and Kα2)).
Lines closer than 0.1° are merged.

Peak list (6 most intense, 2θ = 10–80°, in order of rising 2θ)
20.10°, rel. 52; 32.71°, rel. 100; 33.14°, rel. 47; 37.97°, rel. 55; 39.06°, rel. 47; 39.41°, rel. 93

```
HfNbAl
1.0
5.3252 0.0000 0.0000
0.0000 5.4068 0.0000
0.0000 0.0000 7.9086
Hf Nb Al
4 4 4
Cartesian
0.0000 1.3517 0.9670
0.0000 4.0551 6.9416
2.6626 1.3517 2.9873
2.6626 4.0551 4.9212
1.3313 1.3517 5.9314
1.3313 4.0551 1.9771
3.9939 1.3517 5.9314
3.9939 4.0551 1.9771
0.0000 0.0000 3.9543
0.0000 2.7034 3.9543
2.6626 0.0000 0.0000
2.6626 2.7034 0.0000
```

=====

(3)
Structure and calculated XRD peak list of PaIn2RhO8 (a PBE-relaxed structure; Cu Kα (weighted mean of Kα1 and Kα2)).
Lines closer than 0.1° are merged.

Peak list (6 most intense, 2θ = 10–80°, in order of rising 2θ)
25.30°, rel. 61; 25.79°, rel. 56; 32.54°, rel. 100; 36.44°, rel. 29; 49.37°, rel. 41; 49.92°, rel. 38

```
PaIn2RhO8
1.0
3.4549 -3.5204 0.0000
3.4549 3.5204 0.0000
0.0000 0.0000 6.6319
Pa In Rh O
1 2 1 8
Cartesian
0.0000 0.0000 0.0000
3.4549 0.0000 1.7175
3.4549 0.0000 4.9144
0.0000 0.0000 3.3159
3.4549 2.1974 1.7734
3.4549 2.1974 4.8585
1.9588 0.0000 3.3159
2.1187 0.0000 0.0000
4.7910 0.0000 0.0000
4.9510 0.0000 3.3159
3.4549 -2.1974 1.7734
3.4549 -2.1974 4.8585
```

=====

(4)
Structure and calculated XRD peak list of MnCrCuBi2 (a PBE-relaxed structure; Cu Kα (weighted mean of Kα1 and Kα2)).
Lines closer than 0.1° are merged.

Peak list (6 most intense, 2θ = 10–80°, in order of rising 2θ)
18.67°, rel. 54; 30.72°, rel. 100; 34.45°, rel. 63; 39.47°, rel. 35; 52.11°, rel. 39; 63.98°, rel. 33

```
MnCrCuBi2
1.0
5.2066 0.0000 0.0000
0.0000 5.2066 0.0000
0.0000 0.0000 4.7529
Mn Cr Cu Bi
1 1 1 2
Cartesian
0.0000 0.0000 0.0000
2.6033 2.6033 0.0000
2.6033 2.6033 2.3764
0.0000 2.6033 2.3764
2.6033 0.0000 2.3764
```

=====

(5)
Structure and calculated XRD peak list of CoNi5 (a PBE-relaxed structure; Cu Kα (weighted mean of Kα1 and Kα2)).
Lines closer than 0.1° are merged.

Peak list (6 most intense, 2θ = 10–80°, in order of rising 2θ)
41.83°, rel. 25; 44.67°, rel. 27; 47.71°, rel. 100; 62.85°, rel. 14; 76.36°, rel. 5; 76.41°, rel. 10

```
CoNi5
1.0
4.0575 0.0000 0.0000
0.0000 2.4943 0.0000
0.0000 0.0000 12.9506
Co Ni
2 10
Cartesian
0.0000 0.0000 0.0000
0.0000 1.2472 6.4753
0.0000 0.0000 4.3245
0.0000 0.0000 8.6179
0.0000 1.2472 2.1426
0.0000 1.2472 10.7998
2.0288 0.0000 1.4207
2.0288 0.0000 5.7371
2.0288 0.0000 10.0522
2.0288 1.2472 3.5769
2.0288 1.2472 7.8960
2.0288 1.2472 12.2123
```